# 1
# TmAl4Ni4
Calculated PXRD pattern, copper Kα. Input: a PBE-relaxed structure.

Unit cell a=6.1689 b=6.1689 c=6.1689 alpha=97.37 beta=97.37 gamma=138.02
Sites, in units of the cell vectors:
1 Tm 0.0000 0.0000 0.0000
2 Al 0.1196 0.6042 0.7237
3 Al 0.3958 0.1196 0.5154
4 Al 0.6042 0.8804 0.4846
5 Al 0.8804 0.3958 0.2763
6 Ni 0.1811 0.3073 0.4884
7 Ni 0.3073 0.8189 0.1262
8 Ni 0.6927 0.1811 0.8738
9 Ni 0.8189 0.6927 0.5115

Principal peaks in the range 2θ from 15° to 90°, by angle:
2θ/deg, I_rel
22.90, 92
31.05, 63
31.84, 100
34.83, 98
40.84, 48
45.07, 59
50.61, 74
52.18, 29
54.73, 52
81.52, 36

---

# 2
# CePuB4
Calculated PXRD pattern, copper Kα. Input: a PBE-relaxed structure.

Unit cell a=6.0821 b=11.6999 c=4.1142 alpha=90.00 beta=90.00 gamma=90.00
Sites, in units of the cell vectors:
1 Ce 0.1209 0.1547 0.0000
2 Ce 0.3791 0.6547 0.0000
3 Ce 0.6209 0.3453 0.0000
4 Ce 0.8791 0.8453 0.0000
5 Pu 0.1322 0.4144 0.0000
6 Pu 0.3678 0.9144 0.0000
7 Pu 0.6322 0.0856 0.0000
8 Pu 0.8678 0.5856 0.0000
9 B 0.0312 0.6948 0.5000
10 B 0.1226 0.5511 0.5000
11 B 0.1297 0.9707 0.5000
12 B 0.2077 0.8127 0.5000
13 B 0.2923 0.3127 0.5000
14 B 0.3703 0.4707 0.5000
15 B 0.3774 0.0511 0.5000
16 B 0.4688 0.1948 0.5000
17 B 0.5312 0.8052 0.5000
18 B 0.6226 0.9489 0.5000
19 B 0.6297 0.5293 0.5000
20 B 0.7077 0.6873 0.5000
21 B 0.7923 0.1873 0.5000
22 B 0.8703 0.0293 0.5000
23 B 0.8774 0.4489 0.5000
24 B 0.9688 0.3052 0.5000

Principal peaks in the range 2θ from 15° to 90°, by angle:
2θ/deg, I_rel
16.43, 21
21.60, 100
27.22, 19
30.37, 44
34.01, 24
37.55, 82
37.74, 25
40.65, 34
43.69, 43
44.02, 23

---

# 3
# TaSiNi2
Calculated PXRD pattern, copper Kα. Input: a PBE-relaxed structure.

Unit cell a=2.9048 b=2.9048 c=6.1034 alpha=90.00 beta=90.00 gamma=90.00
Sites, in units of the cell vectors:
1 Ta 0.0000 0.0000 0.0000
2 Si 0.5000 0.5000 0.6969
3 Ni 0.0000 0.0000 0.5138
4 Ni 0.5000 0.5000 0.2699

Principal peaks in the range 2θ from 15° to 90°, by angle:
2θ/deg, I_rel
29.27, 16
30.78, 26
34.19, 33
42.99, 100
44.09, 49
53.80, 12
64.12, 16
64.46, 9
78.01, 14
80.33, 31

---

# 4
# DyCdPb
Calculated PXRD pattern, copper Kα. Input: a PBE-relaxed structure.

Unit cell a=8.2997 b=8.2997 c=4.3728 alpha=90.00 beta=90.00 gamma=147.50
Sites, in units of the cell vectors:
1 Dy 0.0930 0.9070 0.7500
2 Dy 0.9070 0.0930 0.2500
3 Cd 0.2567 0.7433 0.2500
4 Cd 0.7433 0.2567 0.7500
5 Pb 0.4207 0.5793 0.7500
6 Pb 0.5793 0.4207 0.2500

Principal peaks in the range 2θ from 15° to 90°, by angle:
2θ/deg, I_rel
32.80, 100
33.75, 22
38.78, 16
41.29, 14
52.33, 13
54.35, 11
59.76, 16
66.44, 13
68.75, 11
69.92, 11

---

# 5
# VBrCl
Calculated PXRD pattern, copper Kα. Input: a PBE-relaxed structure.

Unit cell a=6.9606 b=7.4740 c=6.4771 alpha=90.00 beta=109.85 gamma=90.00
Sites, in units of the cell vectors:
1 V 0.0025 0.1251 0.2559
2 V 0.0025 0.3749 0.7559
3 V 0.9975 0.6251 0.2441
4 V 0.9975 0.8749 0.7441
5 Br 0.2304 0.1207 0.0029
6 Br 0.2304 0.3793 0.5029
7 Br 0.7696 0.6207 0.4971
8 Br 0.7696 0.8793 0.9971
9 Cl 0.1943 0.6285 0.9854
10 Cl 0.1943 0.8715 0.4854
11 Cl 0.8057 0.1285 0.5146
12 Cl 0.8057 0.3715 0.0146

Principal peaks in the range 2θ from 15° to 90°, by angle:
2θ/deg, I_rel
18.01, 16
18.79, 16
28.91, 24
32.66, 51
33.40, 100
42.99, 15
46.06, 33
47.16, 16
48.73, 50
59.91, 19

---

# 6
# LiDyAu
Calculated PXRD pattern, copper Kα. Input: a PBE-relaxed structure.

Unit cell a=4.0584 b=4.0584 c=7.9949 alpha=90.00 beta=90.00 gamma=90.00
Sites, in units of the cell vectors:
1 Li 0.2500 0.7500 0.0000
2 Li 0.7500 0.2500 0.0000
3 Dy 0.2500 0.2500 0.3487
4 Dy 0.7500 0.7500 0.6513
5 Au 0.2500 0.2500 0.7433
6 Au 0.7500 0.7500 0.2567

Principal peaks in the range 2θ from 15° to 90°, by angle:
2θ/deg, I_rel
22.24, 55
31.17, 100
31.41, 29
38.62, 59
40.49, 47
44.66, 40
50.44, 25
61.85, 27
62.42, 28
79.96, 28